Entry 1:
Diffraction record for NdCu6. The powder diffraction line list is calculated, not measured: it uses a DFT-relaxed cell (PBE, Alexandria) and Cu Kα (weighted mean of Kα1 and Kα2).
Neutral-atom scattering factors, no anomalous dispersion.

Atomic structure:
Cell lengths 8.0552, 5.1439, 10.1151 Å; angles 90.00, 90.00, 90.00 degrees
Fractional coordinates of all 28 atoms:
Nd 0.2400 0.2500 0.0637
Nd 0.2600 0.7500 0.5637
Nd 0.7400 0.2500 0.4363
Nd 0.7600 0.7500 0.9363
Cu 0.0659 0.0057 0.3094
Cu 0.0659 0.4943 0.3094
Cu 0.0671 0.7500 0.0969
Cu 0.1003 0.2500 0.5171
Cu 0.1477 0.7500 0.8564
Cu 0.1810 0.2500 0.7566
Cu 0.3190 0.7500 0.2566
Cu 0.3523 0.2500 0.3564
Cu 0.3997 0.7500 0.0171
Cu 0.4329 0.2500 0.5969
Cu 0.4341 0.5057 0.8094
Cu 0.4341 0.9943 0.8094
Cu 0.5659 0.0057 0.1906
Cu 0.5659 0.4943 0.1906
Cu 0.5671 0.7500 0.4031
Cu 0.6003 0.2500 0.9829
Cu 0.6477 0.7500 0.6436
Cu 0.6810 0.2500 0.7434
Cu 0.8190 0.7500 0.2434
Cu 0.8523 0.2500 0.1436
Cu 0.8997 0.7500 0.4829
Cu 0.9329 0.2500 0.9031
Cu 0.9341 0.5057 0.6906
Cu 0.9341 0.9943 0.6906

Peak list (6 most intense, 5 to 70 degrees two-theta, by intensity)
Position (°2θ), I/Imax
38.9, 1000
39.0, 790
45.9, 633
37.3, 575
45.8, 417
34.9, 378

---

Entry 2:
Diffraction record for Nd6Cu5. The powder diffraction line list is calculated, not measured: it uses a DFT-relaxed cell (PBE, Alexandria) and Cu Kα (weighted mean of Kα1 and Kα2).
Neutral-atom scattering factors, no anomalous dispersion.

Atomic structure:
Cell lengths 8.7327, 8.7327, 5.0566 Å; angles 106.69, 106.69, 48.48 degrees
Fractional coordinates of all 11 atoms:
Nd 0.0852 0.5847 0.3348
Nd 0.2487 0.7513 0.0000
Nd 0.4153 0.9148 0.6652
Nd 0.5847 0.0852 0.3348
Nd 0.7513 0.2487 0.0000
Nd 0.9148 0.4153 0.6652
Cu 0.0000 0.0000 0.5000
Cu 0.1685 0.1685 0.1688
Cu 0.3282 0.3282 0.8273
Cu 0.6718 0.6718 0.1727
Cu 0.8315 0.8315 0.8312

Peak list (6 most intense, 5 to 70 degrees two-theta, by intensity)
Position (°2θ), I/Imax
35.5, 1000
63.7, 212
35.6, 197
24.9, 183
63.8, 139
25.0, 91

---

Entry 3:
Diffraction record for NdCu10Ni2. The powder diffraction line list is calculated, not measured: it uses a DFT-relaxed cell (PBE, Alexandria) and Cu Kα (weighted mean of Kα1 and Kα2).
Neutral-atom scattering factors, no anomalous dispersion.

Atomic structure:
Cell lengths 8.4722, 6.4750, 6.4506 Å; angles 81.91, 49.17, 48.92 degrees
Fractional coordinates of all 13 atoms:
Nd 0.0000 0.0000 0.0000
Cu 0.0000 0.5000 0.0000
Cu 0.0043 0.6453 0.3547
Cu 0.2731 0.5014 0.4986
Cu 0.3547 0.9957 0.0043
Cu 0.4986 0.7269 0.2731
Cu 0.5000 0.0000 0.5000
Cu 0.5014 0.2731 0.7269
Cu 0.6453 0.0043 0.9957
Cu 0.7269 0.4986 0.5014
Cu 0.9957 0.3547 0.6453
Ni 0.0000 0.0000 0.5000
Ni 0.5000 0.5000 0.0000

Peak list (6 most intense, 5 to 70 degrees two-theta, by intensity)
Position (°2θ), I/Imax
42.7, 1000
43.0, 650
42.8, 455
36.8, 405
48.3, 346
29.9, 257

---

Entry 4:
Diffraction record for Nd2CuNi10. The powder diffraction line list is calculated, not measured: it uses a DFT-relaxed cell (PBE, Alexandria) and Cu Kα (weighted mean of Kα1 and Kα2).
Neutral-atom scattering factors, no anomalous dispersion.

Atomic structure:
Cell lengths 5.1066, 11.0635, 7.5491 Å; angles 90.00, 119.49, 90.00 degrees
Fractional coordinates of all 26 atoms:
Nd 0.0215 0.1018 0.3123
Nd 0.0215 0.3982 0.8123
Nd 0.9785 0.6018 0.1877
Nd 0.9785 0.8982 0.6877
Cu 0.5000 0.0000 0.0000
Cu 0.5000 0.5000 0.5000
Ni 0.1713 0.6636 0.6189
Ni 0.1713 0.8364 0.1189
Ni 0.2280 0.1632 0.7784
Ni 0.2280 0.3368 0.2784
Ni 0.3298 0.6758 0.9799
Ni 0.3298 0.8242 0.4799
Ni 0.3983 0.1876 0.1369
Ni 0.3983 0.3124 0.6369
Ni 0.4890 0.0125 0.6697
Ni 0.4890 0.4875 0.1697
Ni 0.5110 0.5125 0.8303
Ni 0.5110 0.9875 0.3303
Ni 0.6017 0.6876 0.3631
Ni 0.6017 0.8124 0.8631
Ni 0.6702 0.1758 0.5201
Ni 0.6702 0.3242 0.0201
Ni 0.7720 0.6632 0.7216
Ni 0.7720 0.8368 0.2216
Ni 0.8287 0.1636 0.8811
Ni 0.8287 0.3364 0.3811

Peak list (6 most intense, 5 to 70 degrees two-theta, by intensity)
Position (°2θ), I/Imax
39.4, 1000
43.5, 678
42.3, 490
42.1, 485
38.3, 483
37.2, 440

---

Entry 5:
Diffraction record for Nd2Cu4Ni3. The powder diffraction line list is calculated, not measured: it uses a DFT-relaxed cell (PBE, Alexandria) and Cu Kα (weighted mean of Kα1 and Kα2).
Neutral-atom scattering factors, no anomalous dispersion.

Atomic structure:
Cell lengths 7.7721, 6.8551, 5.0842 Å; angles 79.72, 60.21, 40.07 degrees
Fractional coordinates of all 9 atoms:
Nd 0.1316 0.1316 0.8684
Nd 0.8684 0.8684 0.1316
Cu 0.1612 0.5080 0.4920
Cu 0.4920 0.8388 0.1612
Cu 0.5080 0.1612 0.8388
Cu 0.8388 0.4920 0.5080
Ni 0.0000 0.0000 0.5000
Ni 0.5000 0.5000 0.0000
Ni 0.5000 0.5000 0.5000

Peak list (6 most intense, 5 to 70 degrees two-theta, by intensity)
Position (°2θ), I/Imax
41.4, 1000
36.0, 622
46.2, 277
41.0, 256
29.4, 213
42.5, 211

---

Entry 6:
Diffraction record for NdCu2Ni. The powder diffraction line list is calculated, not measured: it uses a DFT-relaxed cell (PBE, Alexandria) and Cu Kα (weighted mean of Kα1 and Kα2).
Neutral-atom scattering factors, no anomalous dispersion.

Atomic structure:
Cell lengths 14.8226, 6.9448, 5.2301 Å; angles 90.00, 90.00, 90.00 degrees
Fractional coordinates of all 32 atoms:
Nd 0.1054 0.2500 0.2336
Nd 0.1419 0.7500 0.4614
Nd 0.3581 0.2500 0.9614
Nd 0.3946 0.7500 0.7336
Nd 0.6054 0.2500 0.2664
Nd 0.6419 0.7500 0.0386
Nd 0.8581 0.2500 0.5386
Nd 0.8946 0.7500 0.7664
Cu 0.0401 0.0630 0.7522
Cu 0.0401 0.4370 0.7522
Cu 0.2105 0.5597 0.9355
Cu 0.2105 0.9403 0.9355
Cu 0.2895 0.0597 0.4355
Cu 0.2895 0.4403 0.4355
Cu 0.4599 0.5630 0.2522
Cu 0.4599 0.9370 0.2522
Cu 0.5401 0.0630 0.7478
Cu 0.5401 0.4370 0.7478
Cu 0.7105 0.5597 0.5645
Cu 0.7105 0.9403 0.5645
Cu 0.7895 0.0597 0.0645
Cu 0.7895 0.4403 0.0645
Cu 0.9599 0.5630 0.2478
Cu 0.9599 0.9370 0.2478
Ni 0.0697 0.7500 0.9820
Ni 0.1855 0.2500 0.7055
Ni 0.3145 0.7500 0.2055
Ni 0.4303 0.2500 0.4820
Ni 0.5697 0.7500 0.5180
Ni 0.6855 0.2500 0.7945
Ni 0.8145 0.7500 0.2945
Ni 0.9303 0.2500 0.0180

Peak list (6 most intense, 5 to 70 degrees two-theta, by intensity)
Position (°2θ), I/Imax
38.7, 1000
35.4, 602
40.4, 396
36.0, 367
37.2, 355
33.2, 348

---

Entry 7:
Diffraction record for Nd2Cu6Ni9. The powder diffraction line list is calculated, not measured: it uses a DFT-relaxed cell (PBE, Alexandria) and Cu Kα (weighted mean of Kα1 and Kα2).
Neutral-atom scattering factors, no anomalous dispersion.

Atomic structure:
Cell lengths 4.9677, 4.9677, 11.9321 Å; angles 90.00, 90.00, 120.00 degrees
Fractional coordinates of all 17 atoms:
Nd 0.0000 0.0000 0.1828
Nd 0.0000 0.0000 0.8172
Cu 0.3333 0.6667 0.1662
Cu 0.3333 0.6667 0.5000
Cu 0.3333 0.6667 0.8338
Cu 0.6667 0.3333 0.1662
Cu 0.6667 0.3333 0.5000
Cu 0.6667 0.3333 0.8338
Ni 0.0000 0.5000 0.0000
Ni 0.0000 0.5000 0.3335
Ni 0.0000 0.5000 0.6665
Ni 0.5000 0.0000 0.0000
Ni 0.5000 0.0000 0.3335
Ni 0.5000 0.0000 0.6665
Ni 0.5000 0.5000 0.0000
Ni 0.5000 0.5000 0.3335
Ni 0.5000 0.5000 0.6665

Peak list (6 most intense, 5 to 70 degrees two-theta, by intensity)
Position (°2θ), I/Imax
42.9, 1000
42.0, 302
45.6, 271
36.2, 269
48.1, 235
30.6, 225

---

Entry 8:
Diffraction record for Nd2Cu9Ni6. The powder diffraction line list is calculated, not measured: it uses a DFT-relaxed cell (PBE, Alexandria) and Cu Kα (weighted mean of Kα1 and Kα2).
Neutral-atom scattering factors, no anomalous dispersion.

Atomic structure:
Cell lengths 4.9573, 4.9573, 12.1466 Å; angles 90.00, 90.00, 120.00 degrees
Fractional coordinates of all 17 atoms:
Nd 0.0000 0.0000 0.1775
Nd 0.0000 0.0000 0.8225
Cu 0.0000 0.5000 0.0000
Cu 0.0000 0.5000 0.3374
Cu 0.0000 0.5000 0.6626
Cu 0.5000 0.0000 0.0000
Cu 0.5000 0.0000 0.3374
Cu 0.5000 0.0000 0.6626
Cu 0.5000 0.5000 0.0000
Cu 0.5000 0.5000 0.3374
Cu 0.5000 0.5000 0.6626
Ni 0.3333 0.6667 0.1682
Ni 0.3333 0.6667 0.5000
Ni 0.3333 0.6667 0.8318
Ni 0.6667 0.3333 0.1682
Ni 0.6667 0.3333 0.5000
Ni 0.6667 0.3333 0.8318

Peak list (6 most intense, 5 to 70 degrees two-theta, by intensity)
Position (°2θ), I/Imax
42.8, 1000
42.1, 325
44.8, 310
30.3, 269
48.0, 237
69.7, 226

---

Entry 9:
Diffraction record for NdCuNi4. The powder diffraction line list is calculated, not measured: it uses a DFT-relaxed cell (PBE, Alexandria) and Cu Kα (weighted mean of Kα1 and Kα2).
Neutral-atom scattering factors, no anomalous dispersion.

Atomic structure:
Cell lengths 7.6770, 7.6770, 6.0946 Å; angles 90.00, 90.00, 151.12 degrees
Fractional coordinates of all 12 atoms:
Nd 0.1104 0.8896 0.7500
Nd 0.8896 0.1104 0.2500
Cu 0.2350 0.7650 0.2500
Cu 0.7650 0.2350 0.7500
Ni 0.0755 0.9245 0.2500
Ni 0.3337 0.6663 0.5628
Ni 0.3337 0.6663 0.9372
Ni 0.5000 0.5000 0.0000
Ni 0.5000 0.5000 0.5000
Ni 0.6663 0.3337 0.0628
Ni 0.6663 0.3337 0.4372
Ni 0.9245 0.0755 0.7500

Peak list (6 most intense, 5 to 70 degrees two-theta, by intensity)
Position (°2θ), I/Imax
38.2, 1000
38.3, 445
47.3, 377
41.2, 354
47.5, 335
33.0, 278

---

Entry 10:
Diffraction record for NdCuNi4. The powder diffraction line list is calculated, not measured: it uses a DFT-relaxed cell (PBE, Alexandria) and Cu Kα (weighted mean of Kα1 and Kα2).
Neutral-atom scattering factors, no anomalous dispersion.

Atomic structure:
Cell lengths 5.0169, 5.0169, 3.9922 Å; angles 90.00, 90.00, 121.11 degrees
Fractional coordinates of all 6 atoms:
Nd 0.0000 0.0000 0.0000
Cu 0.5000 0.5000 0.5000
Ni 0.0000 0.5000 0.5000
Ni 0.3238 0.6762 0.0000
Ni 0.5000 0.0000 0.5000
Ni 0.6762 0.3238 0.0000

Peak list (6 most intense, 5 to 70 degrees two-theta, by intensity)
Position (°2θ), I/Imax
42.6, 1000
30.6, 513
43.1, 464
45.4, 395
42.1, 313
35.8, 289

---

Entry 11:
Diffraction record for Nd2Cu2Ni3. The powder diffraction line list is calculated, not measured: it uses a DFT-relaxed cell (PBE, Alexandria) and Cu Kα (weighted mean of Kα1 and Kα2).
Neutral-atom scattering factors, no anomalous dispersion.

Atomic structure:
Cell lengths 4.8047, 4.8047, 7.5360 Å; angles 118.51, 118.51, 56.25 degrees
Fractional coordinates of all 7 atoms:
Nd 0.2402 0.2402 0.3086
Nd 0.7598 0.7598 0.6914
Cu 0.1820 0.1820 0.8831
Cu 0.8180 0.8180 0.1169
Ni 0.0000 0.0000 0.5000
Ni 0.4921 0.4921 0.8307
Ni 0.5079 0.5079 0.1693

Peak list (6 most intense, 5 to 70 degrees two-theta, by intensity)
Position (°2θ), I/Imax
38.1, 1000
39.8, 798
42.0, 717
35.8, 686
38.4, 634
30.6, 617

---

Copy entry 3 word for word.
Diffraction record for NdCu10Ni2. The powder diffraction line list is calculated, not measured: it uses a DFT-relaxed cell (PBE, Alexandria) and Cu Kα (weighted mean of Kα1 and Kα2).
Neutral-atom scattering factors, no anomalous dispersion.

Atomic structure:
Cell lengths 8.4722, 6.4750, 6.4506 Å; angles 81.91, 49.17, 48.92 degrees
Fractional coordinates of all 13 atoms:
Nd 0.0000 0.0000 0.0000
Cu 0.0000 0.5000 0.0000
Cu 0.0043 0.6453 0.3547
Cu 0.2731 0.5014 0.4986
Cu 0.3547 0.9957 0.0043
Cu 0.4986 0.7269 0.2731
Cu 0.5000 0.0000 0.5000
Cu 0.5014 0.2731 0.7269
Cu 0.6453 0.0043 0.9957
Cu 0.7269 0.4986 0.5014
Cu 0.9957 0.3547 0.6453
Ni 0.0000 0.0000 0.5000
Ni 0.5000 0.5000 0.0000

Peak list (6 most intense, 5 to 70 degrees two-theta, by intensity)
Position (°2θ), I/Imax
42.7, 1000
43.0, 650
42.8, 455
36.8, 405
48.3, 346
29.9, 257

---

Number 8 is which compound?
Nd2Cu9Ni6